Diffraction record for PCl3O. The PXRD pattern is computed, not measured: it uses a DFT-relaxed cell (PBE, the Materials Project) and copper Kα.
Intensities are scaled so that the largest is 100.

a b c (Å): 12.104 9.505 5.969
angles (deg): 90.00 90.00 90.00
Element x y z (fractional)
P: 0.179 0.241 0.000
P: 0.321 0.741 0.500
P: 0.679 0.259 0.000
P: 0.821 0.759 0.500
Cl: 0.057 0.250 0.228
Cl: 0.137 0.077 0.805
Cl: 0.154 0.411 0.806
Cl: 0.346 0.911 0.306
Cl: 0.363 0.577 0.305
Cl: 0.443 0.750 0.728
Cl: 0.557 0.250 0.228
Cl: 0.637 0.423 0.805
Cl: 0.654 0.089 0.806
Cl: 0.846 0.589 0.306
Cl: 0.863 0.923 0.305
Cl: 0.943 0.750 0.728
O: 0.209 0.731 0.595
O: 0.291 0.231 0.095
O: 0.709 0.769 0.595
O: 0.791 0.269 0.095

Top 12 peaks for 2θ = 5–70°, low angle first:
2θ 17.37, d = 5.105 Å, rel. 100, hkl 2 1 0
2θ 17.54, d = 5.055 Å, rel. 72, hkl 0 1 1
2θ 18.67, d = 4.752 Å, rel. 17, hkl 0 2 0
2θ 20.90, d = 4.250 Å, rel. 47, hkl 2 0 1
2θ 22.92, d = 3.880 Å, rel. 31, hkl 2 1 1
2θ 28.17, d = 3.168 Å, rel. 28, hkl 2 2 1
2θ 31.97, d = 2.799 Å, rel. 49, hkl 0 3 1
2θ 33.19, d = 2.699 Å, rel. 20, hkl 4 0 1
2θ 38.60, d = 2.332 Å, rel. 13, hkl 2 2 2
2θ 43.64, d = 2.074 Å, rel. 16, hkl 4 1 2
2θ 44.30, d = 2.045 Å, rel. 12, hkl 2 3 2
2θ 51.80, d = 1.765 Å, rel. 11, hkl 4 3 2